1.
Structure and theoretical powder diffractogram of KNaTiH2O3F4 (DFT lattice parameters and positions (PBE); Cu Kα, 1.54184 Å).

The 10 most intense peaks (5° ≤ 2θ ≤ 70°), low angle first:
8.13 deg, d 10.875, intensity 60
16.03 deg, d 5.529, intensity 35
16.33 deg, d 5.429, intensity 100
17.48 deg, d 5.072, intensity 36
26.18 deg, d 3.404, intensity 29
27.35 deg, d 3.261, intensity 21
28.17 deg, d 3.168, intensity 19
29.75 deg, d 3.003, intensity 35
34.44 deg, d 2.604, intensity 23
37.13 deg, d 2.421, intensity 26

Cell and atoms:
```
KNaTiH2O3F4
1.0
11.080 0.000 0.000
0.000 6.420 0.000
-1.980 0.000 10.172
K Na Ti H O F
4 4 4 8 12 16
direct
0.134 0.165 0.152
0.134 0.335 0.652
0.866 0.665 0.348
0.866 0.835 0.848
0.400 0.567 0.280
0.400 0.933 0.780
0.600 0.067 0.220
0.600 0.433 0.720
0.348 0.060 0.480
0.348 0.440 0.980
0.652 0.560 0.020
0.652 0.940 0.520
0.144 0.638 0.052
0.144 0.862 0.552
0.495 0.556 0.507
0.495 0.944 0.008
0.505 0.056 0.992
0.505 0.444 0.492
0.856 0.138 0.448
0.856 0.362 0.948
0.021 0.634 0.172
0.021 0.866 0.672
0.054 0.745 0.074
0.054 0.755 0.574
0.226 0.527 0.048
0.226 0.973 0.548
0.774 0.027 0.452
0.774 0.473 0.952
0.946 0.245 0.426
0.946 0.255 0.926
0.979 0.134 0.328
0.979 0.366 0.828
0.286 0.205 0.880
0.286 0.295 0.380
0.324 0.615 0.830
0.324 0.885 0.330
0.408 0.234 0.631
0.408 0.266 0.131
0.473 0.639 0.076
0.473 0.861 0.576
0.527 0.139 0.424
0.527 0.361 0.924
0.592 0.734 0.869
0.592 0.766 0.369
0.676 0.115 0.670
0.676 0.385 0.170
0.714 0.705 0.620
0.714 0.795 0.120
```



2.
Structure and theoretical powder diffractogram of Np3P (DFT lattice parameters and positions (PBE); Cu Kα, 1.54184 Å).

The 10 most intense peaks (5° ≤ 2θ ≤ 70°), low angle first:
21.87 deg, d 4.064, intensity 7
23.88 deg, d 3.727, intensity 24
30.14 deg, d 2.965, intensity 7
37.55 deg, d 2.396, intensity 100
39.60 deg, d 2.276, intensity 7
43.14 deg, d 2.097, intensity 34
44.59 deg, d 2.032, intensity 16
49.90 deg, d 1.827, intensity 7
62.66 deg, d 1.483, intensity 12
63.78 deg, d 1.459, intensity 22

Cell and atoms:
```
Np3P
1.0
-2.097 2.097 4.064
2.097 -2.097 4.064
2.097 2.097 -4.064
Np P
3 1
direct
0.000 0.000 0.000
0.250 0.750 0.500
0.750 0.250 0.500
0.500 0.500 0.000
```



3.
Structure and theoretical powder diffractogram of Tm2P4O13 (DFT lattice parameters and positions (PBE); Cu Kα, 1.54184 Å).

The 10 most intense peaks (5° ≤ 2θ ≤ 70°), low angle first:
14.51 deg, d 6.106, intensity 100
20.35 deg, d 4.363, intensity 75
22.89 deg, d 3.886, intensity 51
24.94 deg, d 3.571, intensity 91
25.44 deg, d 3.502, intensity 93
34.37 deg, d 2.609, intensity 40
35.60 deg, d 2.522, intensity 33
37.42 deg, d 2.403, intensity 45
44.53 deg, d 2.035, intensity 31
50.38 deg, d 1.811, intensity 41

Cell and atoms:
```
Tm2P4O13
1.0
3.502 -8.726 0.000
3.502 8.726 0.000
0.000 0.000 8.546
Tm P O
4 8 26
direct
0.099 0.393 0.148
0.393 0.099 0.852
0.607 0.901 0.352
0.901 0.607 0.648
0.085 0.405 0.502
0.219 0.335 0.776
0.335 0.219 0.224
0.405 0.085 0.498
0.595 0.915 0.998
0.665 0.781 0.724
0.781 0.665 0.276
0.915 0.595 0.002
0.027 0.485 0.609
0.082 0.760 0.884
0.112 0.341 0.900
0.115 0.285 0.609
0.195 0.243 0.203
0.240 0.918 0.616
0.243 0.195 0.797
0.280 0.570 0.401
0.285 0.115 0.391
0.341 0.112 0.100
0.430 0.720 0.099
0.438 0.562 0.750
0.485 0.027 0.391
0.515 0.973 0.891
0.562 0.438 0.250
0.570 0.280 0.599
0.659 0.888 0.600
0.715 0.885 0.891
0.720 0.430 0.901
0.757 0.805 0.297
0.760 0.082 0.116
0.805 0.757 0.703
0.885 0.715 0.109
0.888 0.659 0.400
0.918 0.240 0.384
0.973 0.515 0.109
```



4.
Structure and theoretical powder diffractogram of Ba7Na5Li3N3 (DFT lattice parameters and positions (PBE); Cu Kα, 1.54184 Å).

The 10 most intense peaks (5° ≤ 2θ ≤ 70°), low angle first:
8.68 deg, d 10.193, intensity 49
10.02 deg, d 8.827, intensity 52
17.40 deg, d 5.096, intensity 24
24.71 deg, d 3.604, intensity 24
26.23 deg, d 3.398, intensity 100
28.60 deg, d 3.121, intensity 77
36.71 deg, d 2.448, intensity 34
39.20 deg, d 2.298, intensity 26
44.44 deg, d 2.039, intensity 23
53.71 deg, d 1.707, intensity 43

Cell and atoms:
```
Ba7Na5Li3N3
1.0
0.000 8.827 8.827
8.827 0.000 8.827
8.827 8.827 0.000
Ba Na Li N
14 10 6 6
direct
0.186 0.605 0.605
0.209 0.209 0.791
0.209 0.791 0.209
0.209 0.791 0.791
0.396 0.396 0.396
0.396 0.396 0.812
0.396 0.812 0.396
0.605 0.186 0.605
0.605 0.605 0.186
0.605 0.605 0.605
0.791 0.209 0.209
0.791 0.209 0.791
0.791 0.791 0.209
0.812 0.396 0.396
0.171 0.171 0.171
0.171 0.171 0.488
0.171 0.488 0.171
0.488 0.171 0.171
0.508 0.508 0.992
0.508 0.992 0.508
0.508 0.992 0.992
0.992 0.508 0.508
0.992 0.508 0.992
0.992 0.992 0.508
0.000 0.000 0.000
0.500 0.500 0.500
0.536 0.821 0.821
0.821 0.536 0.821
0.821 0.821 0.536
0.821 0.821 0.821
0.351 0.351 0.649
0.351 0.649 0.351
0.351 0.649 0.649
0.649 0.351 0.351
0.649 0.351 0.649
0.649 0.649 0.351
```



5.
Structure and theoretical powder diffractogram of TaTi3 (DFT lattice parameters and positions (PBE); Cu Kα, 1.54184 Å).

The 8 most intense peaks (5° ≤ 2θ ≤ 70°), low angle first:
23.59 deg, d 3.772, intensity 40
27.30 deg, d 3.267, intensity 21
38.99 deg, d 2.310, intensity 100
46.08 deg, d 1.970, intensity 22
48.26 deg, d 1.886, intensity 6
56.33 deg, d 1.633, intensity 16
61.91 deg, d 1.499, intensity 9
63.70 deg, d 1.461, intensity 9

Cell and atoms:
```
TaTi3
1.0
0.000 3.267 3.267
3.267 0.000 3.267
3.267 3.267 0.000
Ta Ti
1 3
direct
0.000 0.000 0.000
0.250 0.250 0.250
0.500 0.500 0.500
0.750 0.750 0.750
```



6.
Structure and theoretical powder diffractogram of Er4CrSe7 (DFT lattice parameters and positions (PBE); Cu Kα, 1.54184 Å).

The 10 most intense peaks (5° ≤ 2θ ≤ 70°), low angle first:
23.49 deg, d 3.788, intensity 82
23.84 deg, d 3.732, intensity 75
30.76 deg, d 2.907, intensity 76
31.17 deg, d 2.869, intensity 87
32.31 deg, d 2.771, intensity 100
33.49 deg, d 2.676, intensity 98
35.60 deg, d 2.522, intensity 48
40.89 deg, d 2.207, intensity 70
46.00 deg, d 1.973, intensity 60
46.05 deg, d 1.971, intensity 70

Cell and atoms:
```
Er4CrSe7
1.0
6.495 -1.971 0.000
6.495 1.971 0.000
-3.066 0.000 11.528
Er Cr Se
4 1 7
direct
0.000 0.000 0.000
0.390 0.390 0.599
0.582 0.582 0.361
0.696 0.696 0.802
0.811 0.811 0.219
0.035 0.035 0.745
0.203 0.203 0.291
0.358 0.358 0.847
0.425 0.425 0.149
0.664 0.664 0.025
0.730 0.730 0.580
0.948 0.948 0.432
```